The following is a theoretical powder diffractogram of MnRhIO6. It was derived from a DFT-relaxed cell (GGA+U, Alexandria), using copper Kα.
Neutral-atom scattering factors, no anomalous dispersion.

Largest 6 diffraction maxima, sorted by position, 2θ = 15–90°:
- d 4.668, 19.01°, I = 49, (0 0 2)
- d 3.245, 27.49°, I = 100, (1 0 2)
- d 2.606, 34.42°, I = 52, (1 1 0)
- d 2.275, 39.61°, I = 43, (1 1 2)
- d 2.032, 44.60°, I = 25, (2 0 2)
- d 1.739, 52.64°, I = 57, (1 1 4)

Cell lengths 5.2118, 5.2118, 9.3364 Å; angles 90.00, 90.00, 120.00 degrees
Space group P-31c (No. 163)
Inequivalent atoms, fractional coordinates:
Mn (0.0000, 0.0000, 0.0000) [2 per cell]
Rh (0.3333, 0.6667, 0.2500) [2 per cell]
I (0.3333, 0.6667, 0.7500) [2 per cell]
O (0.0109, 0.3607, 0.6352) [12 per cell]